(1)
For MgIn2Sb3, the GGA-PBE geometry in Alexandria gives the simulated powder X-ray diffraction pattern in this record (Cu Kα).
Peak positions follow from Bragg's law for the DFT cell and can differ from measured ones.

Principal peaks in the range 2θ = 10–80°, by intensity:
23.33 deg, I 100; 38.52 deg, I 53; 23.56 deg, I 35; 38.88 deg, I 34; 45.49 deg, I 23; 45.81 deg, I 21; 38.65 deg, I 17; 45.63 deg, I 17

Structure:
Cell lengths 8.0977, 8.0977, 7.9987 Å; angles 99.47, 99.47, 120.02 degrees
Sites, in units of the cell vectors:
Mg 0.0834 0.9166 0.5000
Mg 0.9166 0.0834 0.0000
In 0.2492 0.7487 0.9961
In 0.4094 0.5751 0.4958
In 0.5751 0.4094 0.9958
In 0.7487 0.2492 0.4961
Sb 0.0388 0.2031 0.3753
Sb 0.2031 0.0388 0.8753
Sb 0.3735 0.8740 0.3766
Sb 0.5456 0.7103 0.8754
Sb 0.7103 0.5456 0.3754
Sb 0.8740 0.3735 0.8766

=====

(2)
For MgSc3In, the GGA-PBE geometry in Alexandria gives the simulated powder X-ray diffraction pattern in this record (Cu Kα).
Peak positions follow from Bragg's law for the DFT cell and can differ from measured ones.

Principal peaks in the range 2θ = 10–80°, by intensity:
34.48 deg, I 100; 38.35 deg, I 37; 66.86 deg, I 26; 59.13 deg, I 19; 20.74 deg, I 16; 22.82 deg, I 15; 43.21 deg, I 13; 55.35 deg, I 12

Structure:
Cell lengths 10.7283, 10.7283, 4.6933 Å; angles 90.00, 90.00, 154.71 degrees
Sites, in units of the cell vectors:
Mg 0.1508 0.8492 0.7500
Mg 0.8492 0.1508 0.2500
Sc 0.0513 0.9487 0.2500
Sc 0.2500 0.7500 0.2500
Sc 0.4460 0.5540 0.2500
Sc 0.5540 0.4460 0.7500
Sc 0.7500 0.2500 0.7500
Sc 0.9487 0.0513 0.7500
In 0.3466 0.6534 0.7500
In 0.6534 0.3466 0.2500

=====

(3)
For MgSc5In6, the GGA-PBE geometry in Alexandria gives the simulated powder X-ray diffraction pattern in this record (Cu Kα).
Peak positions follow from Bragg's law for the DFT cell and can differ from measured ones.

Principal peaks in the range 2θ = 10–80°, by intensity:
34.71 deg, I 100; 20.42 deg, I 21; 27.76 deg, I 20; 39.57 deg, I 17; 39.76 deg, I 17; 41.53 deg, I 15; 68.93 deg, I 12; 68.67 deg, I 12

Structure:
Cell lengths 8.4108, 8.4108, 8.4108 Å; angles 148.73, 117.72, 71.34 degrees
Sites, in units of the cell vectors:
Mg 0.0000 0.0000 0.0000
Sc 0.1602 0.6602 0.5000
Sc 0.3339 0.3339 0.0000
Sc 0.5000 0.0000 0.5000
Sc 0.6661 0.6661 0.0000
Sc 0.8398 0.3398 0.5000
In 0.0822 0.8311 0.2510
In 0.2520 0.5000 0.7520
In 0.4199 0.1689 0.2510
In 0.5801 0.8311 0.7490
In 0.7480 0.5000 0.2480
In 0.9178 0.1689 0.7490

=====

(4)
For Mg3Sc2In4, the GGA-PBE geometry in Alexandria gives the simulated powder X-ray diffraction pattern in this record (Cu Kα).
Peak positions follow from Bragg's law for the DFT cell and can differ from measured ones.

Principal peaks in the range 2θ = 10–80°, by intensity:
36.92 deg, I 100; 32.84 deg, I 85; 23.85 deg, I 80; 38.37 deg, I 64; 35.37 deg, I 53; 23.28 deg, I 49; 42.81 deg, I 37; 37.52 deg, I 33

Structure:
Cell lengths 9.2402, 9.2402, 7.9574 Å; angles 90.00, 90.00, 141.08 degrees
Sites, in units of the cell vectors:
Mg 0.0000 0.0000 0.0000
Mg 0.0113 0.4887 0.2500
Mg 0.4887 0.0113 0.7500
Mg 0.5000 0.5000 0.5000
Mg 0.5113 0.9887 0.2500
Mg 0.9887 0.5113 0.7500
Sc 0.0887 0.9113 0.3908
Sc 0.4113 0.5887 0.8908
Sc 0.5887 0.4113 0.1092
Sc 0.9113 0.0887 0.6092
In 0.1620 0.8380 0.0325
In 0.1833 0.3167 0.2500
In 0.3167 0.1833 0.7500
In 0.3380 0.6620 0.5325
In 0.6620 0.3380 0.4675
In 0.6833 0.8167 0.2500
In 0.8167 0.6833 0.7500
In 0.8380 0.1620 0.9675